Entry 1:
Structure and computed powder diffractogram of AcLa2Pm6Y (a structure optimized by DFT (GGA-PBE); Cu Kα, 1.54184 Å).

a = 9.1013 Å, b = 9.1013 Å, c = 9.9883 Å
α = 93.65°, β = 93.65°, γ = 118.42°
Fractional positions:
1 Ac 0.0190 0.9810 0.7500
2 Ac 0.9810 0.0190 0.2500
3 La 0.1986 0.3097 0.5434
4 La 0.3097 0.1986 0.0434
5 La 0.6903 0.8014 0.9566
6 La 0.8014 0.6903 0.4566
7 Pm 0.0199 0.5682 0.6875
8 Pm 0.1269 0.7418 0.0552
9 Pm 0.2582 0.8731 0.4448
10 Pm 0.2924 0.5024 0.8813
11 Pm 0.4318 0.9801 0.8125
12 Pm 0.4976 0.7076 0.6187
13 Pm 0.5024 0.2924 0.3813
14 Pm 0.5682 0.0199 0.1875
15 Pm 0.7076 0.4976 0.1187
16 Pm 0.7418 0.1269 0.5552
17 Pm 0.8731 0.2582 0.9448
18 Pm 0.9801 0.4318 0.3125
19 Y 0.4074 0.5926 0.2500
20 Y 0.5926 0.4074 0.7500

Largest 12 diffraction maxima, by intensity, 2θ = 15–90°:
- 2θ = 30.28°, d 2.952, intensity 100
- 2θ = 29.82°, d 2.996, intensity 74
- 2θ = 30.17°, d 2.962, intensity 70
- 2θ = 32.53°, d 2.753, intensity 62
- 2θ = 27.44°, d 3.250, intensity 60
- 2θ = 29.35°, d 3.043, intensity 53
- 2θ = 30.58°, d 2.924, intensity 45
- 2θ = 31.16°, d 2.870, intensity 28
- 2θ = 27.20°, d 3.279, intensity 26
- 2θ = 51.99°, d 1.759, intensity 25
- 2θ = 57.86°, d 1.594, intensity 24
- 2θ = 36.82°, d 2.441, intensity 18



Entry 2:
Structure and computed powder diffractogram of K2AsClF6 (a structure optimized by DFT (GGA-PBE); Cu Kα, 1.54184 Å).

a = 5.2117 Å, b = 5.8334 Å, c = 7.5561 Å
α = 69.39°, β = 70.64°, γ = 65.19°
Fractional positions:
1 K 0.1918 0.2929 0.3120
2 K 0.8082 0.7071 0.6880
3 As 0.0000 0.0000 0.0000
4 Cl 0.5000 0.5000 0.5000
5 F 0.0769 0.0358 0.7446
6 F 0.1285 0.2544 0.9583
7 F 0.3503 0.7673 0.0100
8 F 0.6497 0.2327 0.9900
9 F 0.8715 0.7456 0.0417
10 F 0.9231 0.9642 0.2554

Largest 12 diffraction maxima, by intensity, 2θ = 15–90°:
- 2θ = 24.05°, d 3.701, intensity 100
- 2θ = 30.15°, d 2.964, intensity 80
- 2θ = 31.02°, d 2.883, intensity 75
- 2θ = 25.92°, d 3.438, intensity 68
- 2θ = 19.22°, d 4.619, intensity 67
- 2θ = 25.42°, d 3.504, intensity 64
- 2θ = 19.71°, d 4.504, intensity 47
- 2θ = 50.10°, d 1.821, intensity 37
- 2θ = 39.80°, d 2.265, intensity 36
- 2θ = 39.15°, d 2.301, intensity 33
- 2θ = 18.81°, d 4.717, intensity 31
- 2θ = 34.43°, d 2.605, intensity 29



Entry 3:
Structure and computed powder diffractogram of Pm4Tm2Tl (a structure optimized by DFT (GGA-PBE); Cu Kα, 1.54184 Å).

a = 5.6908 Å, b = 6.8633 Å, c = 11.8344 Å
α = 90.00°, β = 102.39°, γ = 90.00°
Fractional positions:
1 Pm 0.1169 0.2500 0.1411
2 Pm 0.2187 0.7500 0.4097
3 Pm 0.3302 0.5128 0.7063
4 Pm 0.3302 0.9872 0.7063
5 Pm 0.6698 0.0128 0.2937
6 Pm 0.6698 0.4872 0.2937
7 Pm 0.7813 0.2500 0.5903
8 Pm 0.8831 0.7500 0.8589
9 Tm 0.2162 0.2500 0.4377
10 Tm 0.4481 0.7500 0.0221
11 Tm 0.5519 0.2500 0.9779
12 Tm 0.7838 0.7500 0.5623
13 Tl 0.0067 0.7500 0.1381
14 Tl 0.9933 0.2500 0.8619

Largest 12 diffraction maxima, by intensity, 2θ = 15–90°:
- 2θ = 30.95°, d 2.890, intensity 100
- 2θ = 31.69°, d 2.824, intensity 85
- 2θ = 31.45°, d 2.844, intensity 79
- 2θ = 30.29°, d 2.951, intensity 51
- 2θ = 32.77°, d 2.733, intensity 45
- 2θ = 32.46°, d 2.758, intensity 43
- 2θ = 25.96°, d 3.432, intensity 39
- 2θ = 40.83°, d 2.210, intensity 35
- 2θ = 30.72°, d 2.910, intensity 31
- 2θ = 63.01°, d 1.475, intensity 26
- 2θ = 53.40°, d 1.716, intensity 25
- 2θ = 63.44°, d 1.466, intensity 23